No. 1
Calculated powder diffraction line list of LiPmAsH for CuKα, from DFT lattice parameters and positions (GGA-PBE).
Neutral-atom scattering factors, no anomalous dispersion.

Principal peaks in the range 10° ≤ 2θ ≤ 80°, in order of rising 2θ:
2θ/deg, I_rel, index
10.69, 27, 0 0 1
21.48, 25, 0 0 2
24.73, 13, 1 0 1
31.10, 100, 1 0 2
31.64, 70, 1 1 0
38.56, 28, 1 1 2
45.36, 29, 2 0 0
49.61, 26, 1 0 4
56.02, 38, 2 1 2
69.47, 19, 2 1 4

Crystal structure
```
data_LiPmAsH
_space_group_name_H-M_alt 'P 4/n m m'
_space_group_IT_number 129
_cell_length_a 3.9989
_cell_length_b 3.9989
_cell_length_c 8.2753
_cell_angle_alpha 90.00
_cell_angle_beta 90.00
_cell_angle_gamma 90.00
loop_
_space_group_symop_operation_xyz
'x,y,z'
'-x,-y,-z'
'-y+1/2,x,z'
'y+1/2,-x,-z'
'-x+1/2,-y+1/2,z'
'x+1/2,y+1/2,-z'
'y,-x+1/2,z'
'-y,x+1/2,-z'
'x+1/2,-y,-z'
'-x+1/2,y,z'
'-y,-x,-z'
'y,x,z'
'-x,y+1/2,-z'
'x,-y+1/2,z'
'y+1/2,x+1/2,-z'
'-y+1/2,-x+1/2,z'
loop_
_atom_site_label
_atom_site_type_symbol
_atom_site_fract_x
_atom_site_fract_y
_atom_site_fract_z
Li1 Li 0.2500 0.7500 0.0000
Pm1 Pm 0.2500 0.2500 0.3439
As1 As 0.2500 0.2500 0.7978
H1 H 0.2500 0.7500 0.5000
```

=====

No. 2
Calculated powder diffraction line list of Ho2Ga4Ni3Ru for CuKα, from DFT lattice parameters and positions (GGA-PBE).
Neutral-atom scattering factors, no anomalous dispersion.

Principal peaks in the range 10° ≤ 2θ ≤ 80°, in order of rising 2θ:
2θ/deg, I_rel, index
30.60, 14, 1 1 0
35.05, 60, 1 0 3
35.80, 100, 1 1 2
43.82, 55, 2 0 0
51.68, 24, 1 0 5
57.30, 29, 2 1 3
63.71, 17, 2 2 0
65.55, 13, 1 1 6
70.03, 19, 2 1 5
75.28, 22, 3 1 2

Crystal structure
```
data_Ho2Ga4Ni3Ru
_space_group_name_H-M_alt 'P -4 m 2'
_space_group_IT_number 115
_cell_length_a 4.1318
_cell_length_b 4.1318
_cell_length_c 9.7866
_cell_angle_alpha 90.00
_cell_angle_beta 90.00
_cell_angle_gamma 90.00
loop_
_space_group_symop_operation_xyz
'x,y,z'
'y,-x,-z'
'-x,-y,z'
'-y,x,-z'
'-x,y,z'
'-y,-x,-z'
'x,-y,z'
'y,x,-z'
loop_
_atom_site_label
_atom_site_type_symbol
_atom_site_fract_x
_atom_site_fract_y
_atom_site_fract_z
Ho1 Ho 0.0000 0.5000 0.2431
Ga1 Ga 0.0000 0.0000 0.5000
Ga2 Ga 0.0000 0.5000 0.8664
Ga3 Ga 0.5000 0.5000 0.5000
Ni1 Ni 0.0000 0.0000 0.0000
Ni2 Ni 0.0000 0.5000 0.6274
Ru1 Ru 0.5000 0.5000 0.0000
```